Starting from DFT lattice parameters and positions (PBE+U), the PXRD pattern of La4MgMnO8 was calculated for λ = 1.5418 Å (Cu Kα).
Kinematic intensities with the Lorentz-polarization factor, no thermal factor.

Most intense lines, 10° ≤ 2θ ≤ 80°, in order of rising 2θ:
20.19°, I = 86
24.64°, I = 91
29.06°, I = 100
31.94°, I = 98
33.96°, I = 56
34.53°, I = 53
47.75°, I = 68
49.22°, I = 55

Cell and atoms:
```
La4MgMnO8
1.0
8.2639 -2.6395 0.0000
8.2639 2.6395 0.0000
-0.0040 0.0000 5.1947
La Mg Mn O
4 1 1 8
Cartesian
0.0000 0.0000 0.0000
5.9677 0.0000 0.0008
9.4901 0.0000 2.5951
13.0029 0.0000 2.5943
2.9799 0.0000 5.1884
2.9833 0.0000 2.5910
0.4400 0.0000 2.5915
5.5226 0.0000 2.5865
11.2472 1.2634 1.3282
11.2504 1.2641 3.8539
8.1766 0.0000 5.1921
14.3101 0.0000 5.1920
11.2472 -1.2634 1.3282
11.2504 -1.2641 3.8539
```

Starting from DFT lattice parameters and positions (PBE+U), the PXRD pattern of La4MgMnO8 was calculated for λ = 1.5418 Å (Cu Kα).
Kinematic intensities with the Lorentz-polarization factor, no thermal factor.

Most intense lines, 10° ≤ 2θ ≤ 80°, in order of rising 2θ:
24.42°, I = 55
29.44°, I = 25
29.73°, I = 100
32.58°, I = 43
34.01°, I = 32
34.83°, I = 44
48.44°, I = 40
49.49°, I = 23

Cell and atoms:
```
La4MgMnO8
1.0
5.1496 0.0000 0.0000
0.0035 5.4971 0.0000
0.0021 2.7405 7.5084
La Mg Mn O
4 1 1 8
Cartesian
5.1500 1.3707 1.8699
0.0052 6.8669 5.6385
2.5718 4.1216 1.0080
2.5834 4.1160 6.5005
2.5776 4.1188 3.7542
2.5758 1.3702 3.7542
0.0075 4.1239 0.7352
1.2614 2.6949 3.7540
1.2629 5.5440 3.7545
2.5750 1.3704 1.1765
2.5802 6.8672 6.3319
3.8923 2.6936 3.7539
3.8938 5.5427 3.7544
5.1477 4.1137 6.7732
```